[1]
Zn5FeN4: simulated powder XRD pattern (Cu Ka), based on the GGA-PBE geometry in the Materials Project.
Neutral-atom scattering factors, no anomalous dispersion.

Atomic structure:
Lattice parameters (Å, degrees): 6.0352 8.9337 4.7688 90.00 90.00 90.00
Fractional coordinates of all 20 atoms:
Zn 0.0216 0.0981 0.1985
Zn 0.0216 0.4019 0.1985
Zn 0.2500 0.2500 0.7636
Zn 0.4784 0.0981 0.1985
Zn 0.4784 0.4019 0.1985
Zn 0.5216 0.5981 0.8015
Zn 0.5216 0.9019 0.8015
Zn 0.7500 0.7500 0.2364
Zn 0.9784 0.5981 0.8015
Zn 0.9784 0.9019 0.8015
Fe 0.2500 0.7500 0.2825
Fe 0.7500 0.2500 0.7175
N 0.0096 0.7500 0.4974
N 0.2500 0.5741 0.0823
N 0.2500 0.9259 0.0823
N 0.4904 0.7500 0.4974
N 0.5096 0.2500 0.5026
N 0.7500 0.0741 0.9177
N 0.7500 0.4259 0.9177
N 0.9904 0.2500 0.5026

Main lines, low angle first (5° ≤ 2θ ≤ 70°):
- d 4.769, 2θ 18.61, intensity 111
- d 3.018, 2θ 29.60, intensity 114
- d 2.526, 2θ 35.54, intensity 950
- d 2.501, 2θ 35.91, intensity 209
- d 2.452, 2θ 36.65, intensity 1000
- d 2.384, 2θ 37.73, intensity 277
- d 1.795, 2θ 50.86, intensity 230
- d 1.726, 2θ 53.07, intensity 207
- d 1.509, 2θ 61.45, intensity 109
- d 1.434, 2θ 65.03, intensity 213

***

[2]
LaInO3: simulated powder XRD pattern (Cu Ka), based on the GGA-PBE geometry in the Materials Project.
Neutral-atom scattering factors, no anomalous dispersion.

Atomic structure:
Lattice parameters (Å, degrees): 6.0091 8.3516 5.7712 90.00 90.00 90.00
Fractional coordinates of all 20 atoms:
La 0.0550 0.2500 0.0171
La 0.4450 0.7500 0.5171
La 0.5550 0.2500 0.4829
La 0.9450 0.7500 0.9829
In 0.0000 0.0000 0.5000
In 0.0000 0.5000 0.5000
In 0.5000 0.0000 0.0000
In 0.5000 0.5000 0.0000
O 0.0503 0.7500 0.3804
O 0.1973 0.5635 0.8052
O 0.1973 0.9365 0.8052
O 0.3027 0.0635 0.3052
O 0.3027 0.4365 0.3052
O 0.4497 0.2500 0.8804
O 0.5503 0.7500 0.1196
O 0.6973 0.5635 0.6948
O 0.6973 0.9365 0.6948
O 0.8027 0.0635 0.1948
O 0.8027 0.4365 0.1948
O 0.9497 0.2500 0.6196

Main lines, low angle first (5° ≤ 2θ ≤ 70°):
- d 3.005, 2θ 29.73, intensity 217
- d 2.948, 2θ 30.32, intensity 1000
- d 2.886, 2θ 30.99, intensity 226
- d 2.088, 2θ 43.34, intensity 127
- d 2.081, 2θ 43.48, intensity 200
- d 1.724, 2θ 53.14, intensity 131
- d 1.715, 2θ 53.44, intensity 103
- d 1.692, 2θ 54.23, intensity 114
- d 1.678, 2θ 54.71, intensity 224
- d 1.474, 2θ 63.07, intensity 109

***

[3]
LaTcN3: simulated powder XRD pattern (Cu Ka), based on the GGA-PBE geometry in the Materials Project.
Neutral-atom scattering factors, no anomalous dispersion.

Atomic structure:
Lattice parameters (Å, degrees): 7.4423 7.4423 6.2741 103.14 103.14 87.09
Fractional coordinates of all 20 atoms:
La 0.0953 0.9047 0.7500
La 0.3225 0.6775 0.2500
La 0.6775 0.3225 0.7500
La 0.9047 0.0953 0.2500
Tc 0.2016 0.3806 0.7503
Tc 0.3806 0.2016 0.2503
Tc 0.6194 0.7984 0.7497
Tc 0.7984 0.6194 0.2497
N 0.0014 0.2315 0.6603
N 0.1431 0.6166 0.8576
N 0.2315 0.0014 0.1603
N 0.3307 0.3610 0.5139
N 0.3610 0.3307 0.0139
N 0.3834 0.8569 0.6424
N 0.6166 0.1431 0.3576
N 0.6390 0.6693 0.9861
N 0.6693 0.6390 0.4861
N 0.7685 0.9986 0.8397
N 0.8569 0.3834 0.1424
N 0.9986 0.7685 0.3397

Main lines, low angle first (5° ≤ 2θ ≤ 70°):
- d 3.455, 2θ 25.79, intensity 1000
- d 3.240, 2θ 27.53, intensity 224
- d 2.978, 2θ 30.01, intensity 627
- d 2.830, 2θ 31.62, intensity 514
- d 2.562, 2θ 35.02, intensity 207
- d 2.338, 2θ 38.51, intensity 143
- d 1.943, 2θ 46.75, intensity 123
- d 1.931, 2θ 47.05, intensity 213
- d 1.824, 2θ 50.01, intensity 128
- d 1.758, 2θ 52.02, intensity 113